Structure and calculated powder X-ray diffraction pattern of Nb5ZnGa2 (a cell relaxed with PBE; Cu Kα).
Intensities are scaled so that the largest is 1000.

Structure:
```
data_Nb5ZnGa2
_chemical_formula_sum 'Nb20 Zn4 Ga8'
_space_group_name_H-M_alt 'F m m m'
_space_group_IT_number 69
_space_group_name_Hall '-F 2 2'
_cell_length_a 7.3550
_cell_length_b 8.5668
_cell_length_c 8.6981
_cell_angle_alpha 90.00
_cell_angle_beta 90.00
_cell_angle_gamma 90.00
loop_
_atom_site_label
_atom_site_type_symbol
_atom_site_fract_x
_atom_site_fract_y
_atom_site_fract_z
Nb1 Nb 0.0000 0.0000 0.0000
Nb2 Nb 0.0000 0.2500 0.2500
Nb3 Nb 0.2500 0.2500 0.0000
Zn1 Zn 0.0000 0.0000 0.5000
Ga1 Ga 0.2500 0.0000 0.2500
```

Most intense lines, 2θ = 10–90°, by intensity:
| hkl | 2theta | Rel. int. |
| --- | --- | --- |
| 2 2 2 | 38.3 | 1000 |
| 0 0 4 | 41.5 | 199 |
| 0 4 0 | 42.2 | 190 |
| 2 2 6 | 73.6 | 138 |
| 2 6 2 | 74.6 | 133 |
| 0 4 4 | 60.7 | 125 |
| 4 0 0 | 49.6 | 117 |
| 4 4 4 | 82.1 | 103 |
| 6 2 2 | 85.3 | 94 |
| 4 0 4 | 66.6 | 94 |
| 4 4 0 | 67.1 | 92 |
| 0 2 0 | 20.7 | 13 |